[1]
# Ba3Zn6Si4TeO20
Theoretical X-ray diffraction stick pattern, copper Kα. Input: a crystal structure in Alexandria, relaxed with GGA-PBE.

Largest 10 diffraction maxima, in order of falling intensity, 10 to 80 degrees two-theta:
| 2θ/deg | d/Å | I_rel |
| --- | --- | --- |
| 29.05 | 3.074 | 100 |
| 28.51 | 3.131 | 94 |
| 27.69 | 3.221 | 76 |
| 34.45 | 2.603 | 52 |
| 30.76 | 2.907 | 38 |
| 28.63 | 3.118 | 31 |
| 55.43 | 1.658 | 29 |
| 54.69 | 1.678 | 28 |
| 31.10 | 2.876 | 25 |
| 46.71 | 1.945 | 22 |

Crystal structure
```
34
Lattice="8.0898 -5.8403 0.0000 8.0898 5.8403 0.0000 -1.5491 0.0000 4.9730" Properties=species:S:1:pos:R:3 pbc="T T T"
Ba 0.0000 0.0000 0.0000
Ba 4.2514 0.0000 1.2632
Ba 10.3791 0.0000 3.7098
Zn 4.4823 2.5808 4.1254
Zn 7.3152 1.8264 2.4865
Zn 10.1481 2.5808 0.8476
Zn 4.4823 -2.5808 4.1254
Zn 7.3152 -1.8264 2.4865
Zn 10.1481 -2.5808 0.8476
Si 1.4144 1.5247 3.2692
Si 1.4144 -1.5247 3.2692
Si 13.2160 1.5247 1.7038
Si 13.2160 -1.5247 1.7038
Te 8.0898 0.0000 0.0000
O 0.7935 1.5818 4.7861
O 0.9667 0.0000 2.6556
O 3.0389 1.5638 3.2774
O 5.7719 3.2170 2.7416
O 0.7935 -1.5818 4.7861
O 6.7748 1.3789 0.5353
O 8.8585 3.2170 2.2314
O 3.0389 -1.5638 3.2774
O 5.9772 0.0000 3.1491
O 7.8556 1.3789 4.4377
O 6.7748 -1.3789 0.5353
O 8.6533 0.0000 1.8239
O 11.5915 1.5638 1.6956
O 5.7719 -3.2170 2.7416
O 7.8556 -1.3789 4.4377
O 13.8369 1.5818 0.1869
O 8.8585 -3.2170 2.2314
O 11.5915 -1.5638 1.6956
O 13.6638 0.0000 2.3174
O 13.8369 -1.5818 0.1869
```

[2]
# Ba2TiSiO6
Theoretical X-ray diffraction stick pattern, copper Kα. Input: a crystal structure in Alexandria, relaxed with GGA-PBE.

Largest 10 diffraction maxima, in order of falling intensity, 10 to 80 degrees two-theta:
| 2θ/deg | d/Å | I_rel |
| --- | --- | --- |
| 25.33 | 3.516 | 100 |
| 30.69 | 2.913 | 71 |
| 40.20 | 2.243 | 64 |
| 51.41 | 1.777 | 25 |
| 40.94 | 2.205 | 23 |
| 52.02 | 1.758 | 22 |
| 61.62 | 1.505 | 19 |
| 63.91 | 1.457 | 14 |
| 69.90 | 1.346 | 14 |
| 54.56 | 1.682 | 13 |

Crystal structure
```
10
Lattice="5.8265 0.0000 0.0000 -2.9132 5.0459 0.0000 0.0000 0.0000 4.9017" Properties=species:S:1:pos:R:3 pbc="T T T"
Ba 0.0000 3.3639 1.4028
Ba 2.9132 1.6820 3.4990
Ti 0.0000 0.0000 0.0000
Si 0.0000 0.0000 2.4509
O 0.0000 1.4564 3.5647
O -1.6520 4.3177 3.5647
O 1.2613 0.7282 1.3371
O 1.6520 4.3177 3.5647
O 4.5652 0.7282 1.3371
O 2.9132 3.5895 1.3371
```